# Sr2AlGaW2O7
Simulated X-ray diffraction stick pattern, Cu Kα, 1.54184 Å. Input: a PBE+U-relaxed structure.
Peak positions follow from Bragg's law for the DFT cell and can differ from measured ones.

Principal peaks in the range 2θ from 5° to 70°, by intensity:
2θ/deg	I/Imax	(hkl)
32.7	1000	2 0 1
7.9	645	0 0 1
29.3	486	0 2 1
44.5	364	2 2 2
21.8	323	1 1 1
23.2	281	1 1 0
32.4	207	1 1 -2
58.3	199	-3 1 2
32.5	198	1 -1 3
40.4	162	0 0 5

```
data_Sr2AlGaW2O7
_space_group_name_H-M_alt 'P 1'
_space_group_IT_number 1
_space_group_name_Hall 'P 1'
_cell_length_a 5.4789
_cell_length_b 6.0973
_cell_length_c 11.8593
_cell_angle_alpha 75.61
_cell_angle_beta 76.78
_cell_angle_gamma 89.89
loop_
_atom_site_label
_atom_site_fract_x
_atom_site_fract_y
_atom_site_fract_z
_atom_site_occupancy
Sr1 0.0000 0.0000 0.0000 1
Sr2 0.1740 0.1841 0.6237 1
Sr3 0.4963 0.4426 0.0041 1
Sr4 0.6735 0.6146 0.6302 1
Al1 0.3687 0.3094 0.3116 1
Al2 0.7944 0.8298 0.3284 1
Ga1 0.0679 0.6357 0.8091 1
Ga2 0.5640 0.9876 0.8166 1
W1 0.2817 0.7539 0.4440 1
W2 0.4266 0.8520 0.1801 1
W3 0.7855 0.2681 0.4280 1
W4 0.8945 0.3574 0.1927 1
O1 0.0398 0.0025 0.2093 1
O2 0.0747 0.4146 0.9447 1
O3 0.1406 0.0968 0.4265 1
O4 0.1788 0.5885 0.6548 1
O5 0.2310 0.9108 0.8083 1
O6 0.2460 0.5175 0.1986 1
O7 0.4284 0.4242 0.4389 1
O8 0.5213 0.0397 0.9680 1
O9 0.5522 0.1829 0.1900 1
O10 0.6199 0.9297 0.4599 1
O11 0.6981 0.2012 0.6741 1
O12 0.7287 0.7135 0.8131 1
O13 0.7476 0.6650 0.1239 1
O14 0.9342 0.6037 0.4249 1
```